No. 1
Diffraction record for K2InSbTe4. The powder XRD pattern is simulated, not measured: it uses DFT lattice parameters and positions (GGA-PBE) and Cu Kα (λ = 1.5418 Å).
Intensities are scaled so that the largest is 1000.

Atomic structure:
```
K2InSbTe4
1.0
-4.589 4.696 6.576
4.589 -4.696 6.576
4.589 4.696 -6.576
K In Sb Te
4 2 2 8
Cartesian
0.000 0.000 0.000
-2.295 2.348 3.288
0.000 4.696 0.000
2.295 2.348 3.288
2.295 2.348 -3.288
2.295 -2.348 3.288
4.589 0.000 0.000
0.000 0.000 6.576
4.589 -0.307 3.136
4.589 4.389 -3.136
2.510 2.348 -0.213
6.668 2.348 -0.213
-2.079 2.348 6.789
2.079 2.348 6.789
0.000 0.307 9.712
0.000 5.003 3.439
```

The 8 most intense peaks (2θ = 10–90°), by intensity:
d_spacing  I (rel.)
3.284  1000
2.323  471
7.643  172
1.469  169
7.527  131
1.882  120
2.295  119
2.348  116


No. 2
Diffraction record for K8InSe6. The powder XRD pattern is simulated, not measured: it uses DFT lattice parameters and positions (GGA-PBE) and Cu Kα (λ = 1.5418 Å).
Intensities are scaled so that the largest is 1000.

Atomic structure:
```
K8InSe6
1.0
8.945 0.000 0.000
0.000 9.360 0.000
0.000 0.000 13.885
K In Se
16 2 12
Cartesian
0.000 1.284 0.000
0.000 2.235 6.101
1.800 6.416 1.603
1.824 5.215 11.157
2.018 8.697 10.617
2.454 0.662 3.675
2.648 4.145 4.214
2.672 2.944 8.546
4.472 7.124 13.043
4.472 8.076 6.942
6.272 2.944 8.546
6.296 4.145 4.214
6.490 0.662 3.675
6.926 8.697 10.617
7.121 5.215 11.157
7.145 6.416 1.603
0.000 7.070 6.950
4.472 2.290 0.007
0.000 2.751 2.956
0.000 4.817 8.275
0.000 7.310 12.957
0.000 9.317 8.235
1.692 7.136 4.892
2.780 2.224 11.834
4.472 0.042 1.293
4.472 2.050 6.014
4.472 4.543 1.333
4.472 6.609 9.898
6.165 2.224 11.834
7.252 7.136 4.892
```

The 8 most intense peaks (2θ = 10–90°), by intensity:
d_spacing  I (rel.)
3.760  1000
3.878  929
2.366  864
7.519  649
3.973  597
4.732  563
2.236  550
3.042  446


No. 3
Diffraction record for K2InSe2. The powder XRD pattern is simulated, not measured: it uses DFT lattice parameters and positions (GGA-PBE) and Cu Kα (λ = 1.5418 Å).
Intensities are scaled so that the largest is 1000.

Atomic structure:
```
K2InSe2
1.0
2.567 -8.654 0.000
2.567 8.654 0.000
0.000 0.000 7.787
K In Se
4 2 4
Cartesian
2.567 8.141 3.893
2.567 5.137 6.191
2.567 -5.137 2.298
2.567 -8.141 0.000
2.567 1.661 5.021
2.567 -1.661 1.128
2.567 5.957 1.550
2.567 0.971 2.238
2.567 -0.971 6.131
2.567 -5.957 5.444
```

The 8 most intense peaks (2θ = 10–90°), by intensity:
d_spacing  I (rel.)
5.788  1000
2.567  535
2.870  511
2.732  466
3.440  464
8.654  456
3.893  446
2.142  415